Simulated powder diffraction line list of KNiSbO4 for a wavelength of 1.5418 Å, from DFT lattice parameters and positions (GGA+U).
Kinematic intensities with the Lorentz-polarization factor, no thermal factor.

Peak list (6 most intense, 5° ≤ 2θ ≤ 70°, in order of falling intensity)
index  2θ/deg  I (rel.)
2 0 0  14.1  100
3 1 1  40.1  32
4 0 0  28.4  21
1 1 1  34.1  21
1 1 -1  33.8  18
4 0 -2  43.9  12

Structure:
```
KNiSbO4
1.0
12.587 0.000 0.000
0.000 3.146 0.000
-0.217 0.000 5.282
K Ni Sb O
2 2 2 8
Direct
0.000 0.000 0.000 K
0.500 0.500 0.000 K
0.249 0.500 0.910 Ni
0.749 0.000 0.910 Ni
0.252 0.000 0.414 Sb
0.752 0.500 0.414 Sb
0.164 0.500 0.247 O
0.170 0.000 0.723 O
0.331 0.000 0.100 O
0.338 0.500 0.575 O
0.664 0.000 0.247 O
0.670 0.500 0.723 O
0.831 0.500 0.100 O
0.838 0.000 0.575 O
```